# 1
Theoretical powder diffraction line list of K7NaTe4O32 for CuKα, from a DFT-relaxed cell (GGA-PBE, the Materials Project).
Peak positions follow from Bragg's law for the DFT cell and can differ from measured ones.

Crystal structure
```
K7NaTe4O32
1.0
-3.4032 7.9872 8.6302
3.4032 -7.9872 8.6302
3.4032 7.9872 -8.6302
K Na Te O
7 1 4 32
direct
0.0000 0.0000 0.0000 K
0.2027 0.2027 0.0000 K
0.2348 0.5000 0.7348 K
0.3752 0.3752 0.0000 K
0.6248 0.6248 0.0000 K
0.7652 0.5000 0.2652 K
0.7973 0.7973 0.0000 K
0.5000 0.0000 0.5000 Na
0.1925 0.7911 0.4014 Te
0.3897 0.7911 0.5986 Te
0.6103 0.2089 0.4014 Te
0.8075 0.2089 0.5986 Te
0.0280 0.7053 0.3228 O
0.0564 0.0065 0.2357 O
0.0564 0.8206 0.0498 O
0.1875 0.0673 0.6748 O
0.1875 0.5127 0.1203 O
0.2031 0.8781 0.3250 O
0.2162 0.7162 0.5000 O
0.2292 0.1794 0.2357 O
0.2292 0.9935 0.0498 O
0.3677 0.8677 0.5000 O
0.3825 0.7053 0.6772 O
0.3925 0.0673 0.8797 O
0.3925 0.5127 0.3252 O
0.4004 0.4051 0.8055 O
0.4004 0.5949 0.9952 O
0.4470 0.1219 0.3250 O
0.5530 0.8781 0.6750 O
0.5996 0.4051 0.0048 O
0.5996 0.5949 0.1945 O
0.6075 0.4873 0.6748 O
0.6075 0.9327 0.1203 O
0.6175 0.2947 0.3228 O
0.6323 0.1323 0.5000 O
0.7708 0.0065 0.9502 O
0.7708 0.8206 0.7643 O
0.7838 0.2838 0.5000 O
0.7969 0.1219 0.6750 O
0.8125 0.4873 0.8797 O
0.8125 0.9327 0.3252 O
0.9436 0.1794 0.9502 O
0.9436 0.9935 0.7643 O
0.9720 0.2947 0.6772 O
```

Largest 12 diffraction maxima, most intense first, 2θ from 15° to 90°:
- 17.50 deg, I 1000
- 26.19 deg, I 500
- 38.39 deg, I 386
- 20.21 deg, I 355
- 31.12 deg, I 355
- 16.38 deg, I 338
- 32.66 deg, I 285
- 15.11 deg, I 256
- 47.06 deg, I 209
- 26.41 deg, I 200
- 30.89 deg, I 188
- 24.56 deg, I 180

***

# 2
Theoretical powder diffraction line list of K4Na2TeO6 for CuKα, from a DFT-relaxed cell (GGA-PBE, the Materials Project).
Peak positions follow from Bragg's law for the DFT cell and can differ from measured ones.

Crystal structure
```
K4Na2TeO6
1.0
6.7662 0.0000 0.0000
0.0000 10.0624 0.0000
-3.9683 0.0000 6.1722
K Na Te O
8 4 2 12
direct
0.0016 0.1772 0.0142 K
0.0016 0.3228 0.5142 K
0.1872 0.5122 0.9333 K
0.1872 0.9878 0.4333 K
0.8128 0.0122 0.5667 K
0.8128 0.4878 0.0667 K
0.9984 0.6772 0.4858 K
0.9984 0.8228 0.9858 K
0.4879 0.2420 0.7143 Na
0.4879 0.2580 0.2143 Na
0.5121 0.7420 0.7857 Na
0.5121 0.7580 0.2857 Na
0.5000 0.0000 0.0000 Te
0.5000 0.5000 0.5000 Te
0.2490 0.6292 0.3025 O
0.2490 0.8708 0.8025 O
0.2778 0.1504 0.8435 O
0.2778 0.3496 0.3435 O
0.3883 0.5083 0.7015 O
0.3883 0.9917 0.2015 O
0.6117 0.0083 0.7985 O
0.6117 0.4917 0.2985 O
0.7222 0.6504 0.6565 O
0.7222 0.8496 0.1565 O
0.7510 0.1292 0.1975 O
0.7510 0.3708 0.6975 O
```

Largest 12 diffraction maxima, most intense first, 2θ from 15° to 90°:
- 16.86 deg, I 1000
- 27.92 deg, I 644
- 37.83 deg, I 619
- 30.15 deg, I 410
- 38.72 deg, I 382
- 17.63 deg, I 294
- 44.13 deg, I 266
- 23.60 deg, I 248
- 30.34 deg, I 203
- 15.57 deg, I 184
- 28.95 deg, I 165
- 34.08 deg, I 153

***

# 3
Theoretical powder diffraction line list of K2NaTeO12 for CuKα, from a DFT-relaxed cell (GGA-PBE, the Materials Project).
Peak positions follow from Bragg's law for the DFT cell and can differ from measured ones.

Crystal structure
```
K2NaTeO12
1.0
11.6301 -2.8793 0.0000
11.6301 2.8793 0.0000
-3.2864 0.0000 8.5667
K Na Te O
4 2 2 24
direct
0.0041 0.0041 0.2589 K
0.3262 0.3262 0.4546 K
0.6738 0.6738 0.5454 K
0.9959 0.9959 0.7411 K
0.1807 0.1807 0.8835 Na
0.8193 0.8193 0.1165 Na
0.4294 0.4294 0.9274 Te
0.5706 0.5706 0.0726 Te
0.0638 0.6760 0.8293 O
0.0898 0.6965 0.3670 O
0.1053 0.1053 0.5489 O
0.1236 0.1236 0.0731 O
0.1434 0.3619 0.7179 O
0.2745 0.2745 0.1029 O
0.2752 0.7248 0.0000 O
0.3035 0.9102 0.6330 O
0.3240 0.9362 0.1707 O
0.3619 0.1434 0.7179 O
0.4065 0.4065 0.0978 O
0.4214 0.4214 0.7198 O
0.5786 0.5786 0.2802 O
0.5935 0.5935 0.9022 O
0.6381 0.8566 0.2821 O
0.6760 0.0638 0.8293 O
0.6965 0.0898 0.3670 O
0.7248 0.2752 0.0000 O
0.7255 0.7255 0.8971 O
0.8566 0.6381 0.2821 O
0.8764 0.8764 0.9269 O
0.8947 0.8947 0.4511 O
0.9102 0.3035 0.6330 O
0.9362 0.3240 0.1707 O
```

Largest 12 diffraction maxima, most intense first, 2θ from 15° to 90°:
- 18.19 deg, I 1000
- 31.07 deg, I 854
- 32.81 deg, I 820
- 19.36 deg, I 650
- 20.11 deg, I 640
- 15.91 deg, I 611
- 30.45 deg, I 546
- 25.04 deg, I 346
- 44.34 deg, I 316
- 38.98 deg, I 314
- 29.68 deg, I 306
- 30.87 deg, I 274

***

Please write out number 2 again, unchanged.
Theoretical powder diffraction line list of K4Na2TeO6 for CuKα, from a DFT-relaxed cell (GGA-PBE, the Materials Project).
Peak positions follow from Bragg's law for the DFT cell and can differ from measured ones.

Crystal structure
```
K4Na2TeO6
1.0
6.7662 0.0000 0.0000
0.0000 10.0624 0.0000
-3.9683 0.0000 6.1722
K Na Te O
8 4 2 12
direct
0.0016 0.1772 0.0142 K
0.0016 0.3228 0.5142 K
0.1872 0.5122 0.9333 K
0.1872 0.9878 0.4333 K
0.8128 0.0122 0.5667 K
0.8128 0.4878 0.0667 K
0.9984 0.6772 0.4858 K
0.9984 0.8228 0.9858 K
0.4879 0.2420 0.7143 Na
0.4879 0.2580 0.2143 Na
0.5121 0.7420 0.7857 Na
0.5121 0.7580 0.2857 Na
0.5000 0.0000 0.0000 Te
0.5000 0.5000 0.5000 Te
0.2490 0.6292 0.3025 O
0.2490 0.8708 0.8025 O
0.2778 0.1504 0.8435 O
0.2778 0.3496 0.3435 O
0.3883 0.5083 0.7015 O
0.3883 0.9917 0.2015 O
0.6117 0.0083 0.7985 O
0.6117 0.4917 0.2985 O
0.7222 0.6504 0.6565 O
0.7222 0.8496 0.1565 O
0.7510 0.1292 0.1975 O
0.7510 0.3708 0.6975 O
```

Largest 12 diffraction maxima, most intense first, 2θ from 15° to 90°:
- 16.86 deg, I 1000
- 27.92 deg, I 644
- 37.83 deg, I 619
- 30.15 deg, I 410
- 38.72 deg, I 382
- 17.63 deg, I 294
- 44.13 deg, I 266
- 23.60 deg, I 248
- 30.34 deg, I 203
- 15.57 deg, I 184
- 28.95 deg, I 165
- 34.08 deg, I 153